(1)
For Sm2Dy2Mg, DFT lattice parameters and positions (PBE) gives the computed powder XRD pattern in this record (a wavelength of 1.5418 Å).
No peak broadening, texture or thermal motion is included.

Principal peaks in the range 10° ≤ 2θ ≤ 90°, in order of falling intensity:
- 2θ 31.15, I = 100.0
- 2θ 35.16, I = 37.0
- 2θ 60.60, I = 30.0
- 2θ 52.72, I = 21.5
- 2θ 37.98, I = 13.8
- 2θ 50.57, I = 13.2
- 2θ 27.16, I = 11.6
- 2θ 64.96, I = 11.4

Unit cell a=12.118 b=12.118 c=12.118 alpha=162.87 beta=162.87 gamma=24.32
Sites, in units of the cell vectors:
Sm 0.094 0.094 0.000
Sm 0.906 0.906 0.000
Dy 0.302 0.302 0.000
Dy 0.698 0.698 0.000
Mg 0.500 0.500 0.000

***

(2)
For Sm4Dy4Mg, DFT lattice parameters and positions (PBE) gives the computed powder XRD pattern in this record (a wavelength of 1.5418 Å).
No peak broadening, texture or thermal motion is included.

Principal peaks in the range 10° ≤ 2θ ≤ 90°, in order of falling intensity:
- 2θ 30.85, I = 100.0
- 2θ 35.85, I = 33.5
- 2θ 61.35, I = 28.3
- 2θ 51.44, I = 24.0
- 2θ 35.62, I = 17.1
- 2θ 61.04, I = 14.4
- 2θ 64.28, I = 12.3
- 2θ 51.61, I = 11.9

Unit cell a=7.925 b=7.925 c=7.925 alpha=95.80 beta=95.80 gamma=142.91
Sites, in units of the cell vectors:
Sm 0.166 0.166 0.332
Sm 0.166 0.834 0.000
Sm 0.834 0.166 0.000
Sm 0.834 0.834 0.668
Dy 0.166 0.500 0.666
Dy 0.500 0.166 0.666
Dy 0.500 0.834 0.334
Dy 0.834 0.500 0.334
Mg 0.500 0.500 0.000

***

(3)
For SmDyMg5, DFT lattice parameters and positions (PBE) gives the computed powder XRD pattern in this record (a wavelength of 1.5418 Å).
No peak broadening, texture or thermal motion is included.

Principal peaks in the range 10° ≤ 2θ ≤ 90°, in order of falling intensity:
- 2θ 19.02, I = 100.0
- 2θ 25.57, I = 69.4
- 2θ 34.14, I = 62.9
- 2θ 35.21, I = 54.8
- 2θ 32.35, I = 50.1
- 2θ 18.25, I = 48.1
- 2θ 33.69, I = 34.4
- 2θ 36.99, I = 22.0

Unit cell a=5.811 b=5.811 c=6.639 alpha=100.76 beta=100.76 gamma=113.55
Sites, in units of the cell vectors:
Sm 0.000 0.000 0.000
Dy 0.500 0.500 0.500
Mg 0.000 0.000 0.500
Mg 0.085 0.508 0.774
Mg 0.492 0.915 0.226
Mg 0.508 0.085 0.774
Mg 0.915 0.492 0.226

***

(4)
For SmDy2Mg, DFT lattice parameters and positions (PBE) gives the computed powder XRD pattern in this record (a wavelength of 1.5418 Å).
No peak broadening, texture or thermal motion is included.

Principal peaks in the range 10° ≤ 2θ ≤ 90°, in order of falling intensity:
- 2θ 31.50, I = 100.0
- 2θ 35.01, I = 39.4
- 2θ 60.61, I = 30.9
- 2θ 53.74, I = 19.5
- 2θ 26.45, I = 17.9
- 2θ 50.35, I = 14.1
- 2θ 39.43, I = 12.0
- 2θ 65.77, I = 10.6

Unit cell a=3.625 b=3.625 c=9.140 alpha=90.00 beta=90.00 gamma=90.00
Sites, in units of the cell vectors:
Sm 0.000 0.000 0.000
Dy 0.500 0.500 0.270
Dy 0.500 0.500 0.730
Mg 0.000 0.000 0.500

***

(5)
For Sm6DyMg2, DFT lattice parameters and positions (PBE) gives the computed powder XRD pattern in this record (a wavelength of 1.5418 Å).
No peak broadening, texture or thermal motion is included.

Principal peaks in the range 10° ≤ 2θ ≤ 90°, in order of falling intensity:
- 2θ 31.11, I = 100.0
- 2θ 35.95, I = 70.0
- 2θ 30.67, I = 61.3
- 2θ 30.99, I = 60.9
- 2θ 51.43, I = 39.3
- 2θ 35.85, I = 38.7
- 2θ 19.63, I = 32.8
- 2θ 29.34, I = 23.3

Unit cell a=6.088 b=6.088 c=8.746 alpha=90.00 beta=90.00 gamma=119.73
Sites, in units of the cell vectors:
Sm 0.171 0.341 0.664
Sm 0.173 0.827 0.000
Sm 0.341 0.171 0.336
Sm 0.659 0.829 0.336
Sm 0.827 0.173 0.000
Sm 0.829 0.659 0.664
Dy 0.500 0.500 0.000
Mg 0.000 0.500 0.329
Mg 0.500 0.000 0.671

***

(6)
For Sm6DyMg5, DFT lattice parameters and positions (PBE) gives the computed powder XRD pattern in this record (a wavelength of 1.5418 Å).
No peak broadening, texture or thermal motion is included.

Principal peaks in the range 10° ≤ 2θ ≤ 90°, in order of falling intensity:
- 2θ 32.63, I = 100.0
- 2θ 22.91, I = 48.0
- 2θ 58.36, I = 28.2
- 2θ 46.80, I = 27.2
- 2θ 32.47, I = 25.3
- 2θ 32.74, I = 25.0
- 2θ 58.02, I = 18.8
- 2θ 52.74, I = 13.3

Unit cell a=5.471 b=7.757 c=8.713 alpha=90.00 beta=108.29 gamma=90.00
Sites, in units of the cell vectors:
Sm 0.000 0.239 0.000
Sm 0.000 0.761 0.000
Sm 0.331 0.247 0.660
Sm 0.331 0.753 0.660
Sm 0.669 0.247 0.340
Sm 0.669 0.753 0.340
Dy 0.500 0.500 0.000
Mg 0.160 0.500 0.324
Mg 0.165 0.000 0.334
Mg 0.500 0.000 0.000
Mg 0.835 0.000 0.666
Mg 0.840 0.500 0.676

***

(7)
For Sm12Dy2Mg, DFT lattice parameters and positions (PBE) gives the computed powder XRD pattern in this record (a wavelength of 1.5418 Å).
No peak broadening, texture or thermal motion is included.

Principal peaks in the range 10° ≤ 2θ ≤ 90°, in order of falling intensity:
- 2θ 30.30, I = 100.0
- 2θ 31.04, I = 69.3
- 2θ 33.01, I = 61.4
- 2θ 32.87, I = 39.2
- 2θ 36.81, I = 33.5
- 2θ 29.77, I = 32.8
- 2θ 60.96, I = 26.8
- 2θ 28.88, I = 20.7

Unit cell a=6.782 b=6.782 c=24.608 alpha=90.00 beta=90.00 gamma=116.35
Sites, in units of the cell vectors:
Sm 0.001 0.501 0.126
Sm 0.001 0.999 0.926
Sm 0.018 0.518 0.587
Sm 0.023 0.977 0.439
Sm 0.250 0.250 0.197
Sm 0.250 0.250 0.324
Sm 0.250 0.250 0.676
Sm 0.250 0.250 0.803
Sm 0.477 0.523 0.439
Sm 0.482 0.982 0.587
Sm 0.499 0.501 0.926
Sm 0.499 0.999 0.126
Sm 0.501 0.001 0.874
Sm 0.501 0.499 0.074
Sm 0.518 0.018 0.413
Sm 0.523 0.477 0.561
Sm 0.750 0.750 0.197
Sm 0.750 0.750 0.324
Sm 0.750 0.750 0.676
Sm 0.750 0.750 0.803
Sm 0.977 0.023 0.561
Sm 0.982 0.482 0.413
Sm 0.999 0.001 0.074
Sm 0.999 0.499 0.874
Dy 0.250 0.750 0.267
Dy 0.250 0.750 0.737
Dy 0.750 0.250 0.263
Dy 0.750 0.250 0.733
Mg 0.250 0.750 0.000
Mg 0.750 0.250 0.000

***

(8)
For Sm4Dy7Mg, DFT lattice parameters and positions (PBE) gives the computed powder XRD pattern in this record (a wavelength of 1.5418 Å).
No peak broadening, texture or thermal motion is included.

Principal peaks in the range 10° ≤ 2θ ≤ 90°, in order of falling intensity:
- 2θ 30.84, I = 100.0
- 2θ 35.82, I = 44.7
- 2θ 30.93, I = 33.1
- 2θ 51.43, I = 24.0
- 2θ 61.24, I = 23.6
- 2θ 35.70, I = 22.6
- 2θ 51.54, I = 15.9
- 2θ 61.34, I = 14.1

Unit cell a=6.155 b=7.087 c=9.390 alpha=101.09 beta=96.33 gamma=106.57
Sites, in units of the cell vectors:
Sm 0.000 0.000 0.000
Sm 0.002 0.336 0.330
Sm 0.495 0.088 0.829
Sm 0.503 0.420 0.165
Dy 0.003 0.839 0.333
Dy 0.498 0.920 0.166
Dy 0.499 0.586 0.828
Dy 0.500 0.253 0.497
Dy 0.997 0.667 0.661
Dy 0.998 0.170 0.663
Dy 0.999 0.504 0.992
Mg 0.502 0.755 0.498